[1]
Theoretical powder X-ray diffraction pattern of MgV4Co2O12 for Cu Kα (weighted mean of Kα1 and Kα2), from DFT lattice parameters and positions (PBE+U).
No peak broadening, texture or thermal motion is included.

Most intense lines, 2θ from 10° to 90°, sorted by position:
two_theta	d_spacing	I_rel
13.5	6.579	35
28.1	3.178	100
29.1	3.067	48
33.5	2.673	46
35.4	2.533	22
53.3	1.719	21

Structural model:
```
19
Lattice="5.281 -4.437 0.000 5.281 4.437 0.000 -2.144 0.000 5.346" Properties=species:S:1:pos:R:3 pbc="T T T"
Mg 0.000 0.000 0.000
V 1.164 1.133 2.628
V 0.881 -1.548 5.340
V 7.255 1.133 2.718
V 7.538 -1.548 0.006
Co 4.210 2.663 2.673
Co 5.281 1.248 0.000
O 4.010 2.902 0.513
O 0.519 -0.460 2.521
O 2.788 1.223 3.209
O 4.409 2.902 4.833
O 3.781 -0.049 0.143
O 5.631 1.223 2.137
O 3.034 -2.363 1.704
O 4.638 -0.049 5.202
O 2.017 -2.875 4.483
O 7.900 -0.460 2.825
O 5.385 -2.363 3.642
O 6.402 -2.875 0.863
```

[2]
Theoretical powder X-ray diffraction pattern of V4O3F9 for Cu Kα (weighted mean of Kα1 and Kα2), from DFT lattice parameters and positions (PBE+U).
No peak broadening, texture or thermal motion is included.

Most intense lines, 2θ from 10° to 90°, sorted by position:
two_theta	d_spacing	I_rel
23.4	3.796	100
24.5	3.640	48
33.5	2.674	14
39.7	2.273	19
47.9	1.898	22
53.1	1.726	13

Structural model:
```
16
Lattice="4.671 -2.631 0.000 4.671 2.631 0.000 -2.463 0.000 8.553" Properties=species:S:1:pos:R:3 pbc="T T T"
V 0.185 0.000 3.246
V 3.080 -0.072 1.148
V 3.798 -0.072 7.405
V 6.694 0.000 5.307
O 1.754 -0.474 2.116
O 5.125 -0.474 6.436
O 3.439 -2.208 4.276
F 2.918 1.010 6.014
F 3.961 1.010 2.539
F 4.671 0.449 0.000
F -0.014 -1.064 8.117
F 0.989 -1.072 4.717
F 4.190 -1.593 1.673
F 2.689 -1.593 6.880
F 5.890 -1.072 3.836
F 6.893 -1.064 0.435
```

[3]
Theoretical powder X-ray diffraction pattern of Li9Mn2Co5O16 for Cu Kα (weighted mean of Kα1 and Kα2), from DFT lattice parameters and positions (PBE+U).
No peak broadening, texture or thermal motion is included.

Most intense lines, 2θ from 10° to 90°, sorted by position:
two_theta	d_spacing	I_rel
18.4	4.832	100
35.4	2.537	16
35.8	2.509	14
42.7	2.116	30
43.4	2.086	28
44.5	2.036	26

Structural model:
```
32
Lattice="4.999 0.000 0.000 -0.059 5.952 0.000 -0.604 -1.589 9.664" Properties=species:S:1:pos:R:3 pbc="T T T"
Li 0.000 0.000 0.000
Li -0.029 2.969 0.023
Li 0.886 1.431 4.779
Li 0.890 4.419 4.784
Li 1.693 -0.031 2.422
Li 2.428 4.479 0.074
Li 2.483 1.433 0.062
Li 3.369 -0.028 4.828
Li 3.354 2.950 4.822
Mn 0.140 -0.073 7.232
Mn 4.178 1.466 2.423
Co 0.102 2.903 7.251
Co 1.668 2.924 2.421
Co 2.572 4.386 7.297
Co 2.636 1.427 7.235
Co 4.155 4.512 2.421
O -0.092 0.074 3.537
O 0.063 2.892 3.494
O 0.802 1.588 1.372
O 0.802 4.281 1.399
O 1.008 1.351 8.331
O 1.050 4.304 8.458
O 1.678 2.933 6.148
O 1.739 -0.083 6.112
O 2.546 1.584 3.460
O 2.518 4.280 3.458
O 3.276 2.887 1.346
O 3.479 0.064 1.308
O 3.547 -0.071 8.356
O 3.529 2.888 8.394
O 4.140 1.516 6.076
O 4.201 4.446 6.155
```

[4]
Theoretical powder X-ray diffraction pattern of V2CdO4 for Cu Kα (weighted mean of Kα1 and Kα2), from DFT lattice parameters and positions (PBE+U).
No peak broadening, texture or thermal motion is included.

Most intense lines, 2θ from 10° to 90°, sorted by position:
two_theta	d_spacing	I_rel
28.5	3.133	66
33.5	2.672	100
50.4	1.810	16
53.7	1.706	30
58.9	1.568	19
59.0	1.566	19

Structural model:
```
14
Lattice="6.258 0.000 0.000 3.128 5.427 0.000 3.120 1.808 5.123" Properties=species:S:1:pos:R:3 pbc="T T T"
V 0.000 0.000 0.000
V 1.560 0.904 2.562
V 1.564 2.713 0.000
V 3.129 0.000 0.000
Cd 4.690 2.710 1.922
Cd 7.816 4.525 3.202
O 6.029 5.550 3.928
O 4.687 2.725 4.112
O 2.909 1.676 1.198
O 4.690 4.775 1.189
O 7.816 2.460 3.935
O 9.597 5.558 3.925
O 7.819 4.510 1.011
O 6.477 1.685 1.195
```

[5]
Theoretical powder X-ray diffraction pattern of SrLaMgMn2O6 for Cu Kα (weighted mean of Kα1 and Kα2), from DFT lattice parameters and positions (PBE+U).
No peak broadening, texture or thermal motion is included.

Most intense lines, 2θ from 10° to 90°, sorted by position:
two_theta	d_spacing	I_rel
28.5	3.130	31
31.0	2.883	41
31.5	2.839	100
31.7	2.825	62
31.9	2.807	29
34.2	2.624	48

Structural model:
```
11
Lattice="5.653 0.000 0.000 2.805 4.960 0.000 2.657 -0.975 5.576" Properties=species:S:1:pos:R:3 pbc="T T T"
Sr 0.000 0.000 0.000
La 2.548 1.489 2.083
Mg 5.193 3.183 2.654
Mn 5.389 0.224 3.687
Mn 8.390 2.205 5.221
O 4.484 2.010 4.115
O 3.659 -0.425 3.183
O 2.707 0.196 0.078
O 5.956 2.000 1.322
O 7.084 1.084 4.106
O 9.054 3.933 2.239
```

[6]
Theoretical powder X-ray diffraction pattern of Li9Mn7O16 for Cu Kα (weighted mean of Kα1 and Kα2), from DFT lattice parameters and positions (PBE+U).
No peak broadening, texture or thermal motion is included.

Most intense lines, 2θ from 10° to 90°, sorted by position:
two_theta	d_spacing	I_rel
18.3	4.859	100
33.8	2.649	19
36.4	2.468	12
40.5	2.226	36
44.3	2.047	27
44.4	2.042	27

Structural model:
```
32
Lattice="3.014 0.000 0.000 0.820 7.815 0.000 0.058 0.296 12.643" Properties=species:S:1:pos:R:3 pbc="T T T"
Li 0.000 0.000 0.000
Li 0.957 7.025 8.706
Li 1.004 5.049 0.748
Li 1.277 3.060 5.534
Li 1.435 1.252 10.396
Li 2.456 6.859 2.247
Li 2.615 5.052 7.109
Li 2.888 3.062 11.895
Li 2.934 1.086 3.937
Mn 1.016 5.976 4.724
Mn 1.175 4.159 9.490
Mn 1.365 1.924 1.516
Mn 1.536 0.148 6.322
Mn 2.527 6.187 11.127
Mn 2.717 3.952 3.153
Mn 2.876 2.135 7.919
O 1.012 7.377 10.732
O 1.075 6.514 6.619
O 0.969 5.414 2.827
O 1.054 4.850 11.347
O 1.147 3.582 7.610
O 1.411 2.548 3.439
O 1.405 1.840 12.369
O 2.289 7.417 4.425
O 1.603 0.694 8.218
O 2.487 6.271 0.274
O 2.481 5.563 9.204
O 2.745 4.529 5.033
O 2.838 3.262 1.296
O 2.923 2.697 9.816
O 2.816 1.597 6.025
O 2.880 0.735 1.911
```